1.
Diffraction record for Na4In2IrAu. The powder diffraction line list is simulated, not measured: it uses a crystal structure in OQMD, relaxed with GGA-PBE and Cu Kα X-rays.

Structural model:
```
data_Na4In2IrAu
_chemical_formula_sum 'Na4 In2 Ir1 Au1'
_cell_length_a 4.857
_cell_length_b 4.857
_cell_length_c 6.926
_cell_angle_alpha 90.00
_cell_angle_beta 90.00
_cell_angle_gamma 90.00
_symmetry_space_group_name_H-M 'P -4 m 2'
_symmetry_Int_Tables_number 115
_symmetry_space_group_name_Hall 'P -4 -2'
loop_
_atom_site_label
_atom_site_type_symbol
_atom_site_fract_x
_atom_site_fract_y
_atom_site_fract_z
Na1 Na 0.000 0.000 0.000
Na2 Na 0.000 0.500 0.248
Na3 Na 0.500 0.500 0.500
In1 In 0.000 0.500 0.723
Ir1 Ir 0.000 0.000 0.500
Au1 Au 0.500 0.500 0.000
```

Peak list (10 most intense, 10 to 90 degrees two-theta, sorted by position)
| (hkl) | 2θ/deg | d/Å | I_rel |
| --- | --- | --- | --- |
| 1 0 1 | 22.4 | 3.977 | 1000 |
| 1 1 2 | 36.9 | 2.439 | 961 |
| 2 0 0 | 37.0 | 2.429 | 493 |
| 1 0 3 | 43.4 | 2.085 | 171 |
| 2 1 1 | 43.7 | 2.073 | 357 |
| 2 2 0 | 53.4 | 1.717 | 170 |
| 2 1 3 | 58.3 | 1.582 | 145 |
| 2 0 4 | 66.3 | 1.410 | 150 |
| 3 1 2 | 66.6 | 1.404 | 331 |
| 2 2 4 | 78.4 | 1.219 | 92 |

***

2.
Diffraction record for PrSmNO. The powder diffraction line list is simulated, not measured: it uses a crystal structure in OQMD, relaxed with GGA-PBE and Cu Kα X-rays.

Structural model:
```
data_PrSmNO
_chemical_formula_sum 'Pr4 Sm4 N4 O4'
_cell_length_a 8.368
_cell_length_b 6.885
_cell_length_c 5.159
_cell_angle_alpha 90.00
_cell_angle_beta 90.00
_cell_angle_gamma 90.00
_symmetry_space_group_name_H-M 'P b c m'
_symmetry_Int_Tables_number 57
_symmetry_space_group_name_Hall '-P 2c 2b'
loop_
_atom_site_label
_atom_site_type_symbol
_atom_site_fract_x
_atom_site_fract_y
_atom_site_fract_z
Pr1 Pr 0.125 0.071 0.250
Sm1 Sm 0.376 0.583 0.250
N1 N 0.379 0.576 0.750
O1 O 0.136 0.089 0.750
```

Peak list (10 most intense, 10 to 90 degrees two-theta, sorted by position)
| (hkl) | 2θ/deg | d/Å | I_rel |
| --- | --- | --- | --- |
| 2 1 0 | 24.9 | 3.576 | 359 |
| 0 2 0 | 25.9 | 3.442 | 235 |
| 2 1 1 | 30.4 | 2.939 | 1000 |
| 0 2 1 | 31.2 | 2.863 | 394 |
| 0 0 2 | 34.8 | 2.580 | 342 |
| 4 0 0 | 43.2 | 2.092 | 342 |
| 2 3 0 | 45.1 | 2.012 | 316 |
| 4 2 1 | 54.3 | 1.689 | 175 |
| 4 0 2 | 56.6 | 1.625 | 161 |
| 2 3 2 | 58.1 | 1.587 | 290 |

***

3.
Diffraction record for KZn. The powder diffraction line list is simulated, not measured: it uses a crystal structure in OQMD, relaxed with GGA-PBE and Cu Kα X-rays.

Structural model:
```
data_KZn
_chemical_formula_sum 'K6 Zn6'
_cell_length_a 8.211
_cell_length_b 4.489
_cell_length_c 10.726
_cell_angle_alpha 90.00
_cell_angle_beta 100.29
_cell_angle_gamma 90.00
_symmetry_space_group_name_H-M 'P 1 21/m 1'
_symmetry_Int_Tables_number 11
_symmetry_space_group_name_Hall '-P 2yb'
loop_
_atom_site_label
_atom_site_type_symbol
_atom_site_fract_x
_atom_site_fract_y
_atom_site_fract_z
K1 K 0.032 0.250 0.139
K2 K 0.185 0.250 0.626
K3 K 0.358 0.750 0.363
Zn1 Zn 0.321 0.250 0.932
Zn2 Zn 0.349 0.750 0.059
Zn3 Zn 0.469 0.750 0.837
```

Peak list (10 most intense, 10 to 90 degrees two-theta, sorted by position)
| (hkl) | 2θ/deg | d/Å | I_rel |
| --- | --- | --- | --- |
| 1 0 0 | 11.0 | 8.079 | 1000 |
| 1 0 -1 | 12.6 | 7.052 | 435 |
| 0 1 2 | 26.1 | 3.419 | 167 |
| 2 1 -1 | 29.8 | 2.998 | 620 |
| 2 0 2 | 30.2 | 2.962 | 276 |
| 2 0 -3 | 30.6 | 2.924 | 271 |
| 2 1 1 | 32.1 | 2.792 | 221 |
| 0 1 3 | 32.3 | 2.770 | 504 |
| 0 1 4 | 39.6 | 2.274 | 382 |
| 0 2 0 | 40.2 | 2.244 | 547 |

***

4.
Diffraction record for Li4Ag2SnGe. The powder diffraction line list is simulated, not measured: it uses a crystal structure in OQMD, relaxed with GGA-PBE and Cu Kα X-rays.

Structural model:
```
data_Li4Ag2SnGe
_chemical_formula_sum 'Li4 Ag2 Sn1 Ge1'
_cell_length_a 4.500
_cell_length_b 4.500
_cell_length_c 6.524
_cell_angle_alpha 90.00
_cell_angle_beta 90.00
_cell_angle_gamma 90.00
_symmetry_space_group_name_H-M 'P -4 m 2'
_symmetry_Int_Tables_number 115
_symmetry_space_group_name_Hall 'P -4 -2'
loop_
_atom_site_label
_atom_site_type_symbol
_atom_site_fract_x
_atom_site_fract_y
_atom_site_fract_z
Li1 Li 0.000 0.000 0.000
Li2 Li 0.000 0.500 0.229
Li3 Li 0.500 0.500 0.500
Ag1 Ag 0.000 0.500 0.766
Sn1 Sn 0.000 0.000 0.500
Ge1 Ge 0.500 0.500 0.000
```

Peak list (10 most intense, 10 to 90 degrees two-theta, sorted by position)
| (hkl) | 2θ/deg | d/Å | I_rel |
| --- | --- | --- | --- |
| 1 0 1 | 24.0 | 3.704 | 1000 |
| 1 1 2 | 39.6 | 2.278 | 641 |
| 2 0 0 | 40.1 | 2.250 | 316 |
| 1 0 3 | 46.4 | 1.958 | 162 |
| 2 1 1 | 47.3 | 1.923 | 320 |
| 2 2 0 | 58.0 | 1.591 | 105 |
| 2 1 3 | 62.9 | 1.477 | 127 |
| 2 0 4 | 71.4 | 1.321 | 102 |
| 3 1 2 | 72.5 | 1.304 | 209 |
| 3 2 1 | 77.9 | 1.226 | 72 |